[1]
Starting from a crystal structure in Alexandria, relaxed with PBE, the X-ray diffraction stick pattern of MgCu2SbS4 was computed for Cu Kα (λ = 1.5418 Å).
Neutral-atom scattering factors, no anomalous dispersion.

Top 8 peaks for 2θ = 10–90°, low angle first:
2theta  d/Å  I_rel
17.7  5.010  24
27.7  3.224  100
45.6  1.989  21
46.2  1.967  39
54.2  1.693  28
55.1  1.666  13
74.3  1.277  10
84.7  1.144  12

Structural model:
```
data_MgCu2SbS4
_cell_length_a 7.9543
_cell_length_b 7.9594
_cell_length_c 11.0044
_cell_angle_alpha 90.00
_cell_angle_beta 90.00
_cell_angle_gamma 90.00
_symmetry_space_group_name_H-M 'F m m 2'
_symmetry_Int_Tables_number 42
_symmetry_space_group_name_Hall 'F 2 -2'
loop_
_atom_site_label
_atom_site_fract_x
_atom_site_fract_y
_atom_site_fract_z
Mg1 0.0000 0.0000 0.0000
Cu1 0.2500 0.2500 0.2503
Sb1 0.0000 0.0000 0.5005
S1 0.0000 0.2416 0.1412
S2 0.2421 0.0000 0.8592
```

[2]
Starting from a crystal structure in Alexandria, relaxed with PBE, the X-ray diffraction stick pattern of Sm4Er3Tm3 was computed for Cu Kα (λ = 1.5418 Å).
Neutral-atom scattering factors, no anomalous dispersion.

Top 8 peaks for 2θ = 10–90°, low angle first:
2theta  d/Å  I_rel
27.4  3.257  15
30.7  2.913  88
32.2  2.776  100
47.3  1.920  13
48.4  1.879  19
56.5  1.628  23
58.5  1.579  22
59.4  1.557  19

Structural model:
```
data_Sm4Er3Tm3
_cell_length_a 3.7572
_cell_length_b 13.0317
_cell_length_c 13.0260
_cell_angle_alpha 90.00
_cell_angle_beta 90.00
_cell_angle_gamma 90.00
_symmetry_space_group_name_H-M 'A m m 2'
_symmetry_Int_Tables_number 38
_symmetry_space_group_name_Hall 'A 2 -2'
loop_
_atom_site_label
_atom_site_fract_x
_atom_site_fract_y
_atom_site_fract_z
Sm1 0.0000 0.0000 0.0000
Sm2 0.0000 0.0000 0.2608
Sm3 0.0000 0.1307 0.6300
Er1 0.0000 0.2497 0.3803
Er2 0.5000 0.0000 0.7988
Tm1 0.5000 0.0000 0.4617
Tm2 0.5000 0.1686 0.1304
```

[3]
Starting from a crystal structure in Alexandria, relaxed with PBE, the X-ray diffraction stick pattern of P3Pt was computed for Cu Kα (λ = 1.5418 Å).
Neutral-atom scattering factors, no anomalous dispersion.

Top 8 peaks for 2θ = 10–90°, low angle first:
2theta  d/Å  I_rel
25.6  3.479  100
36.5  2.460  63
45.1  2.009  46
52.6  1.740  44
59.4  1.556  21
65.7  1.420  15
71.8  1.315  24
89.0  1.100  21

Structural model:
```
data_P3Pt
_cell_length_a 4.9202
_cell_length_b 4.9202
_cell_length_c 4.9202
_cell_angle_alpha 90.00
_cell_angle_beta 90.00
_cell_angle_gamma 90.00
_symmetry_space_group_name_H-M 'I m -3 m'
_symmetry_Int_Tables_number 229
_symmetry_space_group_name_Hall '-I 4 2 3'
loop_
_atom_site_label
_atom_site_fract_x
_atom_site_fract_y
_atom_site_fract_z
P1 0.0000 0.0000 0.5000
Pt1 0.0000 0.0000 0.0000
```

[4]
Starting from a crystal structure in Alexandria, relaxed with PBE, the X-ray diffraction stick pattern of TbSmDy3Tm was computed for Cu Kα (λ = 1.5418 Å).
Neutral-atom scattering factors, no anomalous dispersion.

Top 8 peaks for 2θ = 10–90°, low angle first:
2theta  d/Å  I_rel
30.9  2.898  100
35.8  2.510  51
51.5  1.775  36
61.2  1.514  29
61.3  1.512  14
64.3  1.449  12
84.0  1.152  12
86.7  1.123  8

Structural model:
```
data_TbSmDy3Tm
_cell_length_a 5.0126
_cell_length_b 15.0596
_cell_length_c 10.0509
_cell_angle_alpha 90.00
_cell_angle_beta 90.00
_cell_angle_gamma 90.00
_symmetry_space_group_name_H-M 'C m c m'
_symmetry_Int_Tables_number 63
_symmetry_space_group_name_Hall '-C 2c 2'
loop_
_atom_site_label
_atom_site_fract_x
_atom_site_fract_y
_atom_site_fract_z
Tb1 0.0000 0.0000 0.0000
Sm1 0.0000 0.4996 0.2500
Dy1 0.0000 0.1678 0.2500
Dy2 0.0000 0.3328 0.0000
Tm1 0.0000 0.1676 0.7500
```

[5]
Starting from a crystal structure in Alexandria, relaxed with PBE, the X-ray diffraction stick pattern of MgFeCuN2 was computed for Cu Kα (λ = 1.5418 Å).
Neutral-atom scattering factors, no anomalous dispersion.

Top 8 peaks for 2θ = 10–90°, low angle first:
2theta  d/Å  I_rel
18.8  4.718  47
32.7  2.735  73
38.0  2.366  100
38.1  2.359  48
47.0  1.934  51
51.1  1.787  57
62.1  1.496  40
81.3  1.183  33

Structural model:
```
data_MgFeCuN2
_cell_length_a 3.8677
_cell_length_b 3.8677
_cell_length_c 4.7185
_cell_angle_alpha 90.00
_cell_angle_beta 90.00
_cell_angle_gamma 90.00
_symmetry_space_group_name_H-M 'P 4/m m m'
_symmetry_Int_Tables_number 123
_symmetry_space_group_name_Hall '-P 4 2'
loop_
_atom_site_label
_atom_site_fract_x
_atom_site_fract_y
_atom_site_fract_z
Mg1 0.0000 0.0000 0.0000
Fe1 0.0000 0.0000 0.5000
Cu1 0.5000 0.5000 0.5000
N1 0.0000 0.5000 0.0000
```

[6]
Starting from a crystal structure in Alexandria, relaxed with PBE, the X-ray diffraction stick pattern of ZnPbAu2 was computed for Cu Kα (λ = 1.5418 Å).
Neutral-atom scattering factors, no anomalous dispersion.

Top 8 peaks for 2θ = 10–90°, low angle first:
2theta  d/Å  I_rel
24.6  3.616  22
32.1  2.786  100
32.3  2.775  50
36.0  2.495  58
42.2  2.139  31
42.4  2.130  62
54.1  1.694  23
66.2  1.411  21

Structural model:
```
data_ZnPbAu2
_cell_length_a 7.3703
_cell_length_b 4.2784
_cell_length_c 6.1441
_cell_angle_alpha 90.00
_cell_angle_beta 113.43
_cell_angle_gamma 90.00
_symmetry_space_group_name_H-M 'C 1 2/m 1'
_symmetry_Int_Tables_number 12
_symmetry_space_group_name_Hall '-C 2y'
loop_
_atom_site_label
_atom_site_fract_x
_atom_site_fract_y
_atom_site_fract_z
Zn1 0.0000 0.0000 0.0000
Pb1 0.0000 0.5000 0.5000
Au1 0.2235 0.5000 0.1712
```

[7]
Starting from a crystal structure in Alexandria, relaxed with PBE, the X-ray diffraction stick pattern of Tb3CuPd3 was computed for Cu Kα (λ = 1.5418 Å).
Neutral-atom scattering factors, no anomalous dispersion.

Top 8 peaks for 2θ = 10–90°, low angle first:
2theta  d/Å  I_rel
28.3  3.158  24
33.2  2.702  100
33.6  2.666  38
37.1  2.422  25
39.4  2.286  36
42.3  2.135  29
43.0  2.103  24
48.5  1.876  20

Structural model:
```
data_Tb3CuPd3
_cell_length_a 3.7522
_cell_length_b 4.2703
_cell_length_c 18.9496
_cell_angle_alpha 90.00
_cell_angle_beta 90.00
_cell_angle_gamma 90.00
_symmetry_space_group_name_H-M 'I m m 2'
_symmetry_Int_Tables_number 44
_symmetry_space_group_name_Hall 'I 2 -2'
loop_
_atom_site_label
_atom_site_fract_x
_atom_site_fract_y
_atom_site_fract_z
Tb1 0.0000 0.0000 0.0000
Tb2 0.0000 0.0000 0.3708
Tb3 0.0000 0.5000 0.1831
Cu1 0.0000 0.5000 0.7526
Pd1 0.0000 0.0000 0.5279
Pd2 0.0000 0.0000 0.8330
Pd3 0.0000 0.5000 0.6215
```